# 1
For Pm4P3Se4, the PBE geometry in OQMD gives the computed powder XRD pattern in this record (Cu Kα X-rays).
Neutral-atom scattering factors, no anomalous dispersion.

Most intense lines, 10° ≤ 2θ ≤ 90°, low angle first:
2θ = 11.93°, rel. 100; 2θ = 14.38°, rel. 45; 2θ = 27.03°, rel. 69; 2θ = 28.10°, rel. 35; 2θ = 29.26°, rel. 85; 2θ = 32.52°, rel. 70; 2θ = 37.28°, rel. 34; 2θ = 37.39°, rel. 61; 2θ = 40.82°, rel. 47; 2θ = 43.69°, rel. 33

Cell and atoms:
```
Pm4P3Se4
1.0
11.052 0.000 0.000
0.000 2.072 7.417
0.000 -2.072 7.417
Pm P Se
4 3 4
Direct
0.000 0.000 0.000 Pm
0.194 0.241 0.241 Pm
0.500 0.809 0.809 Pm
0.806 0.241 0.241 Pm
0.000 0.671 0.671 P
0.165 0.591 0.591 P
0.835 0.591 0.591 P
0.000 0.367 0.367 Se
0.264 0.873 0.873 Se
0.500 0.186 0.186 Se
0.736 0.873 0.873 Se
```

***

# 2
For Pm3SmP4, the PBE geometry in OQMD gives the computed powder XRD pattern in this record (Cu Kα X-rays).
Neutral-atom scattering factors, no anomalous dispersion.

Most intense lines, 10° ≤ 2θ ≤ 90°, low angle first:
2θ = 26.47°, rel. 81; 2θ = 30.66°, rel. 100; 2θ = 43.90°, rel. 73; 2θ = 52.00°, rel. 40; 2θ = 54.50°, rel. 26; 2θ = 63.83°, rel. 12; 2θ = 70.35°, rel. 16; 2θ = 72.47°, rel. 33; 2θ = 80.71°, rel. 25; 2θ = 86.75°, rel. 13

Cell and atoms:
```
Pm3SmP4
1.0
4.124 -5.832 0.000
4.124 5.832 0.000
0.000 0.000 4.126
Pm Sm P
3 1 4
Direct
0.000 0.000 0.000 Pm
0.000 0.500 0.500 Pm
0.500 0.000 0.500 Pm
0.500 0.500 0.000 Sm
0.251 0.251 0.500 P
0.251 0.749 0.000 P
0.749 0.251 0.000 P
0.749 0.749 0.500 P
```